# 1
For GdGa3B4O12, DFT lattice parameters and positions (PBE) gives the calculated powder diffraction line list in this record (Cu Kα).
Peak positions follow from Bragg's law for the DFT cell and can differ from measured ones.

Cell and atoms:
Cell: 6.0730 6.0730 6.0730 Å, 103.95 103.95 103.95°
Element x y z (fractional)
1 Gd 0.0000 0.0000 0.0000
2 Ga 0.0000 0.5489 0.4511
3 Ga 0.4511 0.0000 0.5489
4 Ga 0.5489 0.4511 0.0000
5 B 0.0513 0.5000 0.9487
6 B 0.5000 0.5000 0.5000
7 B 0.5000 0.9487 0.0513
8 B 0.9487 0.0513 0.5000
9 O 0.0247 0.6278 0.7904
10 O 0.0936 0.9064 0.5000
11 O 0.2096 0.3722 0.9753
12 O 0.3550 0.6450 0.5000
13 O 0.3722 0.9753 0.2096
14 O 0.5000 0.0936 0.9064
15 O 0.5000 0.3550 0.6450
16 O 0.6278 0.7904 0.0247
17 O 0.6450 0.5000 0.3550
18 O 0.7904 0.0247 0.6278
19 O 0.9064 0.5000 0.0936
20 O 0.9753 0.2096 0.3722

Peak list (10 most intense, 15 to 90 degrees two-theta, in order of rising 2θ)
2theta	Rel. int.
15.86	19
18.55	21
24.49	90
30.90	24
32.03	100
37.60	27
45.39	17
46.21	22
52.73	30
53.22	20


# 2
For EuGa2Ge4, DFT lattice parameters and positions (PBE) gives the calculated powder diffraction line list in this record (Cu Kα).
Peak positions follow from Bragg's law for the DFT cell and can differ from measured ones.

Cell and atoms:
Cell: 6.1550 6.1550 13.0894 Å, 90.00 90.00 139.96°
Element x y z (fractional)
1 Eu 0.2031 0.7969 0.7500
2 Eu 0.7969 0.2031 0.2500
3 Ga 0.2555 0.7445 0.0487
4 Ga 0.2555 0.7445 0.4513
5 Ga 0.7445 0.2555 0.5487
6 Ga 0.7445 0.2555 0.9513
7 Ge 0.0720 0.9280 0.1539
8 Ge 0.0720 0.9280 0.3461
9 Ge 0.4691 0.5309 0.0938
10 Ge 0.4691 0.5309 0.4062
11 Ge 0.5309 0.4691 0.5938
12 Ge 0.5309 0.4691 0.9062
13 Ge 0.9280 0.0720 0.6539
14 Ge 0.9280 0.0720 0.8461

Peak list (10 most intense, 15 to 90 degrees two-theta, in order of rising 2θ)
2theta	Rel. int.
26.31	36
30.49	100
31.42	77
31.69	21
32.20	45
37.73	21
42.92	37
49.57	21
54.15	25
54.28	25


# 3
For CeCdPd, DFT lattice parameters and positions (PBE) gives the calculated powder diffraction line list in this record (Cu Kα).
Peak positions follow from Bragg's law for the DFT cell and can differ from measured ones.

Cell and atoms:
Cell: 7.6920 7.6920 4.0321 Å, 90.00 90.00 120.00°
Element x y z (fractional)
1 Ce 0.0000 0.4099 0.0000
2 Ce 0.4099 0.0000 0.0000
3 Ce 0.5901 0.5901 0.0000
4 Cd 0.0000 0.7486 0.5000
5 Cd 0.2514 0.2514 0.5000
6 Cd 0.7486 0.0000 0.5000
7 Pd 0.0000 0.0000 0.0000
8 Pd 0.3333 0.6667 0.5000
9 Pd 0.6667 0.3333 0.5000

Peak list (10 most intense, 15 to 90 degrees two-theta, in order of rising 2θ)
2theta	Rel. int.
32.16	100
34.94	97
35.66	52
40.63	35
42.32	28
44.96	27
54.64	17
58.66	24
62.19	20
65.29	32


# 4
For Ge3Sb2Te6, DFT lattice parameters and positions (PBE) gives the calculated powder diffraction line list in this record (Cu Kα).
Peak positions follow from Bragg's law for the DFT cell and can differ from measured ones.

Cell and atoms:
Cell: 21.7828 21.7828 21.7828 Å, 11.22 11.22 11.22°
Element x y z (fractional)
1 Ge 0.0000 0.0000 0.0000
2 Ge 0.0915 0.0915 0.0915
3 Ge 0.8161 0.8161 0.8161
4 Sb 0.2729 0.2729 0.2729
5 Sb 0.5435 0.5435 0.5435
6 Te 0.1831 0.1831 0.1831
7 Te 0.3551 0.3551 0.3551
8 Te 0.4609 0.4609 0.4609
9 Te 0.6330 0.6330 0.6330
10 Te 0.7364 0.7364 0.7364
11 Te 0.9079 0.9079 0.9079

Peak list (10 most intense, 15 to 90 degrees two-theta, in order of rising 2θ)
2theta	Rel. int.
28.53	100
39.09	31
42.44	38
42.58	6
51.94	19
59.06	9
64.48	9
69.24	15
75.40	9
77.67	8


# 5
For AgBi2S3Cl, DFT lattice parameters and positions (PBE) gives the calculated powder diffraction line list in this record (Cu Kα).
Peak positions follow from Bragg's law for the DFT cell and can differ from measured ones.

Cell and atoms:
Cell: 7.8512 4.0285 10.9146 Å, 90.00 102.88 90.00°
Element x y z (fractional)
1 Ag 0.0589 0.2500 0.4063
2 Ag 0.9411 0.7500 0.5937
3 Bi 0.1870 0.2500 0.9271
4 Bi 0.4592 0.7500 0.6541
5 Bi 0.5408 0.2500 0.3459
6 Bi 0.8130 0.7500 0.0729
7 S 0.0405 0.2500 0.1458
8 S 0.2000 0.2500 0.6618
9 S 0.3178 0.7500 0.4136
10 S 0.6822 0.2500 0.5864
11 S 0.8000 0.7500 0.3382
12 S 0.9595 0.7500 0.8542
13 Cl 0.4043 0.7500 0.1021
14 Cl 0.5957 0.2500 0.8979

Peak list (10 most intense, 15 to 90 degrees two-theta, in order of rising 2θ)
2theta	Rel. int.
15.70	41
25.49	100
27.78	94
31.99	35
32.26	70
33.69	30
34.71	34
43.14	31
44.59	48
44.97	53


# 6
For K3Sn2S3BrO12, DFT lattice parameters and positions (PBE) gives the calculated powder diffraction line list in this record (Cu Kα).
Peak positions follow from Bragg's law for the DFT cell and can differ from measured ones.

Cell and atoms:
Cell: 10.4246 7.6067 10.4614 Å, 90.00 119.28 90.00°
Element x y z (fractional)
1 K 0.0090 0.0000 0.2603
2 K 0.3265 0.2388 0.6762
3 K 0.3336 0.7606 0.6689
4 K 0.6664 0.2606 0.3311
5 K 0.6735 0.7388 0.3238
6 K 0.9910 0.5000 0.7397
7 Sn 0.2283 0.4889 0.2613
8 Sn 0.2804 0.9640 0.0284
9 Sn 0.7196 0.4640 0.9716
10 Sn 0.7717 0.9889 0.7387
11 S 0.0431 0.4992 0.4068
12 S 0.3878 0.5100 0.9740
13 S 0.4119 0.0072 0.3756
14 S 0.5881 0.5072 0.6244
15 S 0.6122 0.0100 0.0260
16 S 0.9569 0.9992 0.5932
17 Br 0.0007 0.2631 0.9986
18 Br 0.9993 0.7631 0.0014
19 O 0.0965 0.6532 0.3529
20 O 0.1012 0.3400 0.3614
21 O 0.1133 0.5042 0.5679
22 O 0.1180 0.9954 0.6628
23 O 0.2826 0.3636 0.9195
24 O 0.3064 0.6838 0.9345
25 O 0.3367 0.9923 0.4624
26 O 0.3667 0.8546 0.2656
27 O 0.3703 0.1712 0.2846
28 O 0.4243 0.4997 0.5306
29 O 0.4740 0.5057 0.8900
30 O 0.4899 0.5013 0.1327
31 O 0.5101 0.0013 0.8673
32 O 0.5260 0.0057 0.1100
33 O 0.5757 0.9997 0.4694
34 O 0.6297 0.6712 0.7154
35 O 0.6333 0.3546 0.7344
36 O 0.6633 0.4923 0.5376
37 O 0.6936 0.1838 0.0655
38 O 0.7174 0.8636 0.0805
39 O 0.8820 0.4954 0.3372
40 O 0.8867 0.0042 0.4321
41 O 0.8988 0.8400 0.6386
42 O 0.9035 0.1532 0.6471

Peak list (10 most intense, 15 to 90 degrees two-theta, in order of rising 2θ)
2theta	Rel. int.
15.23	49
23.39	36
28.38	49
28.58	46
28.70	70
28.97	100
29.06	33
29.36	35
29.74	25
41.93	26


# 7
For La3Pb, DFT lattice parameters and positions (PBE) gives the calculated powder diffraction line list in this record (Cu Kα).
Peak positions follow from Bragg's law for the DFT cell and can differ from measured ones.

Cell and atoms:
Cell: 5.0902 5.0902 5.0902 Å, 90.00 90.00 90.00°
Element x y z (fractional)
1 La 0.0000 0.0000 0.5000
2 La 0.0000 0.5000 0.0000
3 La 0.5000 0.0000 0.0000
4 Pb 0.5000 0.5000 0.5000

Peak list (10 most intense, 15 to 90 degrees two-theta, in order of rising 2θ)
2theta	Rel. int.
17.42	3
24.74	3
30.42	100
35.26	51
50.73	36
60.31	43
63.29	12
74.57	6
82.62	18
85.27	17


# 8
For Ce3AlZnS7, DFT lattice parameters and positions (PBE) gives the calculated powder diffraction line list in this record (Cu Kα).
Peak positions follow from Bragg's law for the DFT cell and can differ from measured ones.

Cell and atoms:
Cell: 10.0926 10.0926 6.2270 Å, 90.00 90.00 120.00°
Element x y z (fractional)
1 Ce 0.1415 0.7674 0.0000
2 Ce 0.2326 0.3741 0.0000
3 Ce 0.3741 0.1415 0.5000
4 Ce 0.6259 0.8585 0.0000
5 Ce 0.7674 0.6259 0.5000
6 Ce 0.8585 0.2326 0.5000
7 Al 0.3333 0.6667 0.5778
8 Al 0.6667 0.3333 0.0778
9 Zn 0.0000 0.0000 0.2314
10 Zn 0.0000 0.0000 0.7314
11 S 0.0925 0.8560 0.4394
12 S 0.1004 0.5195 0.7262
13 S 0.1440 0.2366 0.4394
14 S 0.2366 0.0925 0.9394
15 S 0.3333 0.6667 0.2117
16 S 0.4191 0.8996 0.7262
17 S 0.4805 0.5809 0.7262
18 S 0.5195 0.4191 0.2262
19 S 0.5809 0.1004 0.2262
20 S 0.6667 0.3333 0.7117
21 S 0.7634 0.9075 0.4394
22 S 0.8560 0.7634 0.9394
23 S 0.8996 0.4805 0.2262
24 S 0.9075 0.1440 0.9394

Peak list (10 most intense, 15 to 90 degrees two-theta, in order of rising 2θ)
2theta	Rel. int.
17.49	45
22.68	34
24.89	100
26.99	46
33.83	32
33.97	41
35.40	54
35.58	39
39.78	34
39.91	43


# 9
For Mg3Co, DFT lattice parameters and positions (PBE) gives the calculated powder diffraction line list in this record (Cu Kα).
Peak positions follow from Bragg's law for the DFT cell and can differ from measured ones.

Cell and atoms:
Cell: 3.0455 4.6024 5.0309 Å, 90.00 90.00 90.00°
Element x y z (fractional)
1 Mg 0.0000 0.0000 0.0000
2 Mg 0.0000 0.5000 0.3546
3 Mg 0.5000 0.0000 0.5371
4 Co 0.5000 0.5000 0.8469

Peak list (10 most intense, 15 to 90 degrees two-theta, in order of rising 2θ)
2theta	Rel. int.
17.63	24
19.29	15
34.42	31
39.15	35
39.76	100
40.88	47
53.10	17
63.31	15
71.35	16
77.01	16